No. 1
Calculated PXRD pattern
Compound: Tm5Lu3Se
Radiation: a wavelength of 1.5418 Å
Structure: a DFT-relaxed cell (PBE, OQMD)
Neutral-atom scattering factors, no anomalous dispersion.

Peak list (12 most intense, 2θ = 10–80°, sorted by position)
d_spacing  I_rel
2.918  60
2.839  100
2.665  59
2.573  57
2.287  27
2.141  11
1.851  10
1.842  16
1.596  36
1.558  19
1.532  12
1.498  22

Cell and atoms:
a = 8.9138 Å, b = 8.9138 Å, c = 3.6838 Å
α = 90.00°, β = 90.00°, γ = 120.00°
Atoms (fractional coordinates):
Tm  0.0000  0.6068  0.0000
Tm  0.3333  0.6667  0.5000
Tm  0.3932  0.3932  0.0000
Tm  0.6068  0.0000  0.0000
Tm  0.6667  0.3333  0.5000
Lu  0.0000  0.2601  0.5000
Lu  0.2601  0.0000  0.5000
Lu  0.7399  0.7399  0.5000
Se  0.0000  0.0000  0.0000

No. 2
Calculated PXRD pattern
Compound: Tc2Cl5O4
Radiation: a wavelength of 1.5418 Å
Structure: a DFT-relaxed cell (PBE, OQMD)
Neutral-atom scattering factors, no anomalous dispersion.

Peak list (12 most intense, 2θ = 10–80°, sorted by position)
d_spacing  I_rel
5.311  100
4.799  84
4.158  46
4.059  77
3.901  49
3.850  68
3.587  40
3.297  40
3.111  39
2.819  30
2.509  34
2.487  30

Cell and atoms:
a = 5.7480 Å, b = 5.9256 Å, c = 7.6835 Å
α = 70.71°, β = 80.33°, γ = 84.69°
Atoms (fractional coordinates):
Tc  0.0000  0.0000  0.0000
Tc  0.3561  0.4793  0.5557
Cl  0.1567  0.1426  0.1960
Cl  0.3391  0.7697  0.9834
Cl  0.5984  0.2935  0.3883
Cl  0.7776  0.3503  0.9232
Cl  0.9485  0.9684  0.7189
O  0.1000  0.5633  0.4626
O  0.2928  0.2890  0.7816
O  0.4870  0.7253  0.5561
O  0.8077  0.8058  0.1483

No. 3
Calculated PXRD pattern
Compound: Ta3TlSe5
Radiation: a wavelength of 1.5418 Å
Structure: a DFT-relaxed cell (PBE, OQMD)
Neutral-atom scattering factors, no anomalous dispersion.

Peak list (12 most intense, 2θ = 10–80°, sorted by position)
d_spacing  I_rel
7.714  65
4.214  52
3.857  22
3.061  20
2.904  23
2.718  23
2.515  38
2.391  28
2.107  100
1.928  20
1.530  27
1.452  21

Cell and atoms:
a = 5.8085 Å, b = 5.8085 Å, c = 7.7144 Å
α = 90.00°, β = 90.00°, γ = 120.00°
Atoms (fractional coordinates):
Ta  0.0000  0.5000  0.0000
Ta  0.5000  0.0000  0.0000
Ta  0.5000  0.5000  0.0000
Tl  0.0000  0.0000  0.5000
Se  0.0000  0.0000  0.0000
Se  0.3333  0.6667  0.2649
Se  0.3333  0.6667  0.7351
Se  0.6667  0.3333  0.2649
Se  0.6667  0.3333  0.7351